Calculated powder XRD pattern
Compound: Li2Sm2ThPb2
Radiation: Cu Kα X-rays
Structure: the PBE geometry in Alexandria
Lines closer than 0.1° are merged.

The 8 most intense peaks (10° ≤ 2θ ≤ 80°), in order of rising 2θ:
2θ 21.14, intensity 65.8, (1 0 1)
2θ 24.65, intensity 26.9, (1 0 4)
2θ 31.08, intensity 89.5, (1 0 7)
2θ 33.63, intensity 94.8, (0 1 8)
2θ 36.60, intensity 100.0, (1 1 0)
2θ 50.55, intensity 30.6, (2 0 8)
2θ 63.55, intensity 38.0, (1 1 15)
2θ 64.01, intensity 30.4, (1 2 8)

Structural model:
```
data_Li2Sm2ThPb2
_chemical_formula_sum 'Li6 Sm6 Th3 Pb6'
_space_group_name_H-M_alt 'R -3 m'
_space_group_IT_number 166
_space_group_name_Hall '-R 3 2"'
_cell_length_a 4.9101
_cell_length_b 4.9101
_cell_length_c 27.3531
_cell_angle_alpha 90.00
_cell_angle_beta 90.00
_cell_angle_gamma 120.00
loop_
_atom_site_label
_atom_site_type_symbol
_atom_site_fract_x
_atom_site_fract_y
_atom_site_fract_z
Li1 Li 0.0000 0.0000 0.0935
Sm1 Sm 0.0000 0.0000 0.3712
Th1 Th 0.0000 0.0000 0.5000
Pb1 Pb 0.0000 0.0000 0.2353
```